Diffraction record for AcCo3F12. The PXRD pattern is computed, not measured: it uses a crystal structure in Alexandria, relaxed with GGA+U and Cu Kα (weighted mean of Kα1 and Kα2).
Lines closer than 0.1° are merged.

Crystal structure
a b c (Å): 11.801 11.801 11.801
angles (deg): 37.33 37.33 37.33
Sites, in units of the cell vectors:
Ac 0.250 0.250 0.250
Ac 0.750 0.750 0.750
Co 0.000 0.000 0.500
Co 0.000 0.500 0.000
Co 0.000 0.500 0.500
Co 0.500 0.000 0.000
Co 0.500 0.000 0.500
Co 0.500 0.500 0.000
F 0.024 0.589 0.051
F 0.051 0.024 0.589
F 0.057 0.719 0.689
F 0.089 0.524 0.551
F 0.189 0.219 0.557
F 0.219 0.557 0.189
F 0.281 0.311 0.943
F 0.311 0.943 0.281
F 0.411 0.949 0.976
F 0.443 0.811 0.781
F 0.449 0.911 0.476
F 0.476 0.449 0.911
F 0.524 0.551 0.089
F 0.551 0.089 0.524
F 0.557 0.189 0.219
F 0.589 0.051 0.024
F 0.689 0.057 0.719
F 0.719 0.689 0.057
F 0.781 0.443 0.811
F 0.811 0.781 0.443
F 0.911 0.476 0.449
F 0.943 0.281 0.311
F 0.949 0.976 0.411
F 0.976 0.411 0.949

Largest 6 diffraction maxima, by angle, 10 to 90 degrees two-theta:
2θ = 14.57°, 6.078 Å, intensity 100; 2θ = 28.70°, 3.110 Å, intensity 27; 2θ = 29.39°, 3.039 Å, intensity 23; 2θ = 36.76°, 2.445 Å, intensity 13; 2θ = 44.73°, 2.026 Å, intensity 11; 2θ = 48.20°, 1.888 Å, intensity 11